No. 1
Computed powder XRD pattern
Compound: KDySc
Radiation: copper Kα
Structure: a DFT-relaxed cell (GGA-PBE, OQMD)
Neutral-atom scattering factors, no anomalous dispersion.

The 10 most intense peaks (2θ = 5–70°), in order of rising 2θ:
two_theta  I (rel.)
19.0  59.3
22.0  48.4
31.3  100.0
36.9  34.7
38.6  15.1
44.9  17.9
49.2  15.7
50.5  21.0
55.8  37.0
59.5  12.1

Cell and atoms:
Cell lengths 5.711, 5.711, 5.711 Å; angles 60.00, 60.00, 60.00 degrees
Element x y z (fractional)
K  0.000  0.000  0.000
Dy  0.500  0.500  0.500
Sc  0.750  0.750  0.750



No. 2
Computed powder XRD pattern
Compound: Cd2N3
Radiation: copper Kα
Structure: a DFT-relaxed cell (GGA-PBE, OQMD)
Neutral-atom scattering factors, no anomalous dispersion.

The 10 most intense peaks (2θ = 5–70°), in order of rising 2θ:
two_theta  I (rel.)
21.8  16.9
30.6  100.0
31.5  99.5
44.5  41.0
49.5  27.0
53.8  12.5
55.5  39.7
56.0  26.8
65.7  11.8
67.2  9.4

Cell and atoms:
Cell lengths 5.848, 5.848, 5.848 Å; angles 58.15, 58.15, 58.15 degrees
Element x y z (fractional)
Cd  0.141  0.141  0.141
Cd  0.359  0.359  0.359
Cd  0.641  0.641  0.641
Cd  0.859  0.859  0.859
N  0.038  0.750  0.462
N  0.250  0.538  0.962
N  0.462  0.038  0.750
N  0.538  0.962  0.250
N  0.750  0.462  0.038
N  0.962  0.250  0.538



No. 3
Computed powder XRD pattern
Compound: LaSmSi4Os2
Radiation: copper Kα
Structure: a DFT-relaxed cell (GGA-PBE, OQMD)
Neutral-atom scattering factors, no anomalous dispersion.

The 10 most intense peaks (2θ = 5–70°), in order of rising 2θ:
two_theta  I (rel.)
10.9  80.5
29.5  52.8
30.0  100.0
30.8  79.2
33.1  79.6
35.1  54.9
39.8  52.7
40.1  29.4
43.5  40.0
57.1  27.4

Cell and atoms:
Cell lengths 4.504, 4.164, 8.279 Å; angles 90.00, 102.25, 90.00 degrees
Element x y z (fractional)
La  0.000  0.000  0.000
Sm  0.818  0.500  0.596
Si  0.077  0.500  0.297
Si  0.370  0.000  0.706
Si  0.448  0.500  0.891
Si  0.742  0.000  0.306
Os  0.291  0.000  0.414
Os  0.528  0.500  0.188



No. 4
Computed powder XRD pattern
Compound: TbCdAu2
Radiation: copper Kα
Structure: a DFT-relaxed cell (GGA-PBE, OQMD)
Neutral-atom scattering factors, no anomalous dispersion.

The 10 most intense peaks (2θ = 5–70°), in order of rising 2θ:
two_theta  I (rel.)
31.9  8.9
34.0  21.3
36.5  29.0
36.9  100.0
38.8  18.8
50.8  13.8
55.5  8.5
59.6  9.8
66.0  18.3
68.3  9.2

Cell and atoms:
Cell lengths 6.226, 6.226, 4.917 Å; angles 90.00, 90.00, 115.69 degrees
Element x y z (fractional)
Tb  0.147  0.853  0.750
Tb  0.853  0.147  0.250
Cd  0.353  0.647  0.250
Cd  0.647  0.353  0.750
Au  0.163  0.352  0.750
Au  0.352  0.163  0.250
Au  0.648  0.837  0.750
Au  0.837  0.648  0.250



No. 5
Computed powder XRD pattern
Compound: Tb4Mg3Co2
Radiation: copper Kα
Structure: a DFT-relaxed cell (GGA-PBE, OQMD)
Neutral-atom scattering factors, no anomalous dispersion.

The 10 most intense peaks (2θ = 5–70°), in order of rising 2θ:
two_theta  I (rel.)
11.5  40.8
13.9  56.2
23.1  47.8
23.9  51.6
24.0  51.2
31.2  54.6
32.9  37.2
33.5  89.0
34.1  100.0
39.7  58.9

Cell and atoms:
Cell lengths 7.476, 3.724, 8.168 Å; angles 90.00, 109.50, 90.00 degrees
Element x y z (fractional)
Tb  0.097  0.000  0.227
Tb  0.398  0.000  0.679
Tb  0.602  0.000  0.321
Tb  0.903  0.000  0.773
Mg  0.000  0.500  0.500
Mg  0.292  0.500  0.002
Mg  0.708  0.500  0.998
Co  0.351  0.500  0.393
Co  0.649  0.500  0.607



No. 6
Computed powder XRD pattern
Compound: In2Ag2SeS3
Radiation: copper Kα
Structure: a DFT-relaxed cell (GGA-PBE, OQMD)
Neutral-atom scattering factors, no anomalous dispersion.

The 10 most intense peaks (2θ = 5–70°), in order of rising 2θ:
two_theta  I (rel.)
25.9  99.6
26.1  100.0
29.7  11.1
42.6  42.3
43.1  20.7
43.5  59.7
50.4  15.5
50.7  44.1
51.8  14.3
52.1  13.4

Cell and atoms:
Cell lengths 7.170, 7.170, 6.013 Å; angles 114.34, 114.34, 49.34 degrees
Element x y z (fractional)
In  0.126  0.126  0.381
In  0.874  0.874  0.619
Ag  0.351  0.386  0.130
Ag  0.614  0.649  0.870
Se  0.746  0.254  0.000
S  0.237  0.763  0.500
S  0.497  0.003  0.262
S  0.997  0.503  0.738



No. 7
Computed powder XRD pattern
Compound: Mg4Zn5Pd3
Radiation: copper Kα
Structure: a DFT-relaxed cell (GGA-PBE, OQMD)
Neutral-atom scattering factors, no anomalous dispersion.

The 10 most intense peaks (2θ = 5–70°), in order of rising 2θ:
two_theta  I (rel.)
10.8  25.7
19.1  37.8
21.8  35.3
22.0  34.6
38.3  27.5
40.3  62.2
40.4  100.0
44.4  23.7
45.0  44.5
51.8  29.2

Cell and atoms:
Cell lengths 5.354, 5.354, 8.168 Å; angles 90.00, 90.00, 120.00 degrees
Element x y z (fractional)
Mg  0.000  0.000  0.173
Mg  0.000  0.000  0.827
Mg  0.333  0.667  0.295
Mg  0.333  0.667  0.705
Zn  0.322  0.161  0.500
Zn  0.667  0.333  0.248
Zn  0.667  0.333  0.752
Zn  0.839  0.161  0.500
Zn  0.839  0.678  0.500
Pd  0.006  0.503  0.000
Pd  0.497  0.503  0.000
Pd  0.497  0.994  0.000



No. 8
Computed powder XRD pattern
Compound: K2FeGe3S8
Radiation: copper Kα
Structure: a DFT-relaxed cell (GGA-PBE, OQMD)
Neutral-atom scattering factors, no anomalous dispersion.

The 10 most intense peaks (2θ = 5–70°), in order of rising 2θ:
two_theta  I (rel.)
14.4  62.5
14.6  100.0
22.7  23.2
26.0  16.4
27.0  33.4
27.2  43.6
29.3  25.1
30.4  35.6
32.8  19.9
38.3  17.5

Cell and atoms:
Cell lengths 7.173, 12.112, 16.936 Å; angles 90.00, 96.72, 90.00 degrees
Element x y z (fractional)
K  0.213  0.000  0.078
K  0.242  0.663  0.202
K  0.243  0.618  0.576
K  0.250  0.963  0.691
K  0.750  0.463  0.309
K  0.757  0.118  0.424
K  0.758  0.163  0.798
K  0.787  0.500  0.922
Fe  0.005  0.315  0.092
Fe  0.440  0.816  0.390
Fe  0.560  0.316  0.610
Fe  0.995  0.815  0.908
Ge  0.052  0.293  0.599
Ge  0.253  0.271  0.929
Ge  0.266  0.247  0.266
Ge  0.277  0.355  0.430
Ge  0.319  0.377  0.770
Ge  0.488  0.833  0.891
Ge  0.512  0.333  0.109
Ge  0.681  0.877  0.230
Ge  0.723  0.855  0.570
Ge  0.734  0.747  0.734
Ge  0.747  0.771  0.071
Ge  0.948  0.793  0.401
S  0.001  0.384  0.478
S  0.026  0.737  0.035
S  0.033  0.178  0.188
S  0.069  0.436  0.688
S  0.201  0.691  0.392
S  0.227  0.426  0.304
S  0.230  0.935  0.890
S  0.252  0.433  0.099
S  0.277  0.197  0.806
S  0.298  0.449  0.893
S  0.299  0.176  0.391
S  0.316  0.196  0.605
S  0.406  0.910  0.268
S  0.447  0.730  0.775
S  0.481  0.930  0.501
S  0.494  0.201  0.011
S  0.506  0.701  0.989
S  0.519  0.430  0.499
S  0.553  0.230  0.225
S  0.594  0.410  0.732
S  0.684  0.696  0.395
S  0.701  0.676  0.609
S  0.702  0.949  0.107
S  0.723  0.697  0.194
S  0.748  0.933  0.901
S  0.770  0.435  0.110
S  0.773  0.926  0.696
S  0.799  0.191  0.608
S  0.931  0.936  0.312
S  0.967  0.678  0.812
S  0.974  0.237  0.965
S  0.999  0.884  0.522